This entry pairs a crystal structure of Sr3Sn5Br16 with its computed powder X-ray diffraction pattern. Radiation: Cu Kα (weighted mean of Kα1 and Kα2). Structure: a DFT-relaxed cell (PBE, Alexandria).

Cell: 9.0168 9.0168 13.5948 Å, 90.55 90.55 60.02°
Fractional positions:
Sr (0.0000, 0.0000, 0.0000)
Sr (0.1680, 0.6669, 0.5007)
Sr (0.6669, 0.1680, 0.5007)
Sn (0.0000, 0.5013, 0.0005)
Sn (0.1678, 0.1678, 0.7362)
Sn (0.5013, 0.0000, 0.0005)
Sn (0.5017, 0.5017, 0.2340)
Sn (0.6685, 0.6685, 0.4999)
Br (0.1587, 0.6650, 0.1166)
Br (0.1696, 0.1696, 0.1173)
Br (0.3160, 0.8687, 0.8647)
Br (0.3189, 0.3189, 0.8701)
Br (0.3497, 0.8008, 0.3651)
Br (0.3521, 0.3521, 0.3636)
Br (0.5043, 0.5043, 0.6183)
Br (0.5059, 0.9915, 0.6143)
Br (0.6650, 0.1587, 0.1166)
Br (0.6688, 0.6688, 0.1129)
Br (0.8008, 0.3497, 0.3651)
Br (0.8303, 0.8303, 0.8830)
Br (0.8311, 0.8311, 0.3832)
Br (0.8687, 0.3160, 0.8647)
Br (0.9915, 0.5059, 0.6143)
Br (0.9977, 0.9977, 0.6208)

Most intense lines, 2θ = 10–90°, low angle first:
- 2θ = 13.05°, 6.785 Å, I 89
- 2θ = 26.24°, 3.396 Å, I 77
- 2θ = 26.41°, 3.375 Å, I 70
- 2θ = 30.10°, 2.969 Å, I 54
- 2θ = 30.30°, 2.950 Å, I 34
- 2θ = 30.39°, 2.942 Å, I 18
- 2θ = 39.99°, 2.254 Å, I 100
- 2θ = 40.32°, 2.237 Å, I 22
- 2θ = 40.53°, 2.226 Å, I 22
- 2θ = 72.64°, 1.302 Å, I 19